Simulated X-ray powder pattern of CrB2Mo for Cu Kα X-rays, from the GGA-PBE geometry in the Materials Project.
Neutral-atom scattering factors, no anomalous dispersion.

Main lines, in order of rising 2θ (10 to 90 degrees two-theta):
2theta  I/Imax
21.59  22
31.17  58
37.00  93
43.58  100
44.00  27
44.33  62
54.26  22
72.33  23
73.06  23
79.02  21

Cell and atoms:
```
4
Lattice="3.0100 0.0000 0.0000 0.0000 1.5308 4.1161 0.0000 -1.5308 4.1161" Properties=species:S:1:pos:R:3 pbc="T T T"
Cr 0.0000 0.0000 0.0000
B 0.0000 0.0000 2.4961
B 1.5050 0.0000 3.4931
Mo 1.5050 0.0000 5.8510
```